Starting from a cell relaxed with GGA-PBE, the X-ray powder pattern of TlCd was calculated for Cu Kα (λ = 1.5418 Å).
Neutral-atom scattering factors, no anomalous dispersion.

Principal peaks in the range 2θ from 10° to 80°, by angle:
(1 0 1), d 2.896, I 35
(0 2 0), d 2.827, I 48
(0 1 2), d 2.596, I 68
(1 1 1), d 2.577, I 100
(1 2 1), d 2.023, I 25
(1 0 3), d 1.682, I 19
(0 3 2), d 1.584, I 15
(1 3 1), d 1.579, I 22
(1 2 3), d 1.446, I 23
(2 1 2), d 1.403, I 20

Cell lengths 3.3340, 5.6532, 5.8451 Å; angles 90.00, 90.00, 90.00 degrees
Space group Pmmn (No. 59, origin choice 2)
Unique sites:
Tl 0.2500 0.2500 0.1014
Cd 0.2500 0.7500 0.4069



Starting from a cell relaxed with GGA-PBE, the X-ray powder pattern of Nb2HgPbO7 was calculated for Cu Kα (λ = 1.5418 Å).
Neutral-atom scattering factors, no anomalous dispersion.

Principal peaks in the range 2θ from 10° to 80°, by angle:
(1 0 1), d 3.929, I 42
(1 0 3), d 3.466, I 100
(1 0 5), d 2.884, I 75
(1 1 2), d 2.730, I 74
(1 0 7), d 2.386, I 29
(1 1 6), d 2.192, I 28
(2 0 0), d 2.001, I 49
(0 0 12), d 1.733, I 35
(1 1 10), d 1.676, I 33
(2 1 5), d 1.644, I 30

Cell lengths 4.0015, 4.0015, 20.8025 Å; angles 90.00, 90.00, 90.00 degrees
Space group I-4m2 (No. 119)
Unique sites:
Nb 0.0000 0.0000 0.1032
Hg 0.0000 0.5000 0.7500
Pb 0.0000 0.0000 0.5000
O 0.0000 0.0000 0.0000
O 0.0000 0.0000 0.1960
O 0.0000 0.5000 0.0917
O 0.0000 0.5000 0.5968



Starting from a cell relaxed with GGA-PBE, the X-ray powder pattern of ThAl11Cr was calculated for Cu Kα (λ = 1.5418 Å).
Neutral-atom scattering factors, no anomalous dispersion.

Principal peaks in the range 2θ from 10° to 80°, by angle:
(0 2 0), d 6.387, I 71
(1 1 -1), d 4.564, I 100
(1 1 1), d 3.275, I 42
(1 3 -1), d 3.211, I 61
(1 3 1), d 2.648, I 72
(1 1 -3), d 2.322, I 36
(0 4 2), d 2.298, I 56
(2 2 0), d 2.286, I 44
(2 2 -2), d 2.280, I 39
(1 5 -1), d 2.264, I 57

Cell lengths 5.2616, 12.7742, 7.1127 Å; angles 90.00, 111.47, 90.00 degrees
Space group C2/m (No. 12)
Unique sites:
Th 0.0000 0.0000 0.0000
Al 0.0000 0.0000 0.5000
Al 0.1071 0.3921 0.2255
Al 0.1985 0.1725 0.3628
Al 0.2500 0.2500 0.0000
Cr 0.0000 0.5000 0.5000



Starting from a cell relaxed with GGA-PBE, the X-ray powder pattern of ScMoPb was calculated for Cu Kα (λ = 1.5418 Å).
Neutral-atom scattering factors, no anomalous dispersion.

Principal peaks in the range 2θ from 10° to 80°, by angle:
(0 0 2), d 4.720, I 23
(1 0 1), d 3.357, I 41
(1 1 0), d 2.540, I 62
(1 0 3), d 2.367, I 100
(1 1 2), d 2.237, I 15
(2 0 0), d 1.796, I 22
(1 0 5), d 1.671, I 7
(2 1 1), d 1.583, I 10
(2 1 3), d 1.431, I 44
(1 1 6), d 1.338, I 16

Cell lengths 3.5916, 3.5916, 9.4404 Å; angles 90.00, 90.00, 90.00 degrees
Space group I4mm (No. 107)
Unique sites:
Sc 0.0000 0.0000 0.0000
Mo 0.0000 0.0000 0.6573
Pb 0.0000 0.0000 0.3182